The following is a simulated PXRD pattern of DyHoI6. It was derived from the PBE geometry in OQMD, using Cu Kα (λ = 1.5418 Å).
Neutral-atom scattering factors, no anomalous dispersion.

Principal peaks in the range 2θ from 5° to 70°, by angle:
12.32 deg, I 38.9; 14.00 deg, I 19.9; 23.68 deg, I 20.7; 24.76 deg, I 47.3; 28.60 deg, I 100.0; 28.78 deg, I 48.9; 40.94 deg, I 73.1; 41.06 deg, I 37.1; 50.76 deg, I 28.4; 67.08 deg, I 24.6

Atomic structure:
```
data_DyHoI6
_chemical_formula_sum 'Dy1 Ho1 I6'
_cell_length_a 7.639
_cell_length_b 7.639
_cell_length_c 7.604
_cell_angle_alpha 99.42
_cell_angle_beta 99.42
_cell_angle_gamma 120.15
_symmetry_space_group_name_H-M 'P 1'
_symmetry_Int_Tables_number 1
loop_
_symmetry_equiv_pos_as_xyz
'x,y,z'
loop_
_atom_site_label
_atom_site_type_symbol
_atom_site_fract_x
_atom_site_fract_y
_atom_site_fract_z
Dy1 Dy 0.000 0.000 0.000
Ho1 Ho 0.668 0.332 0.000
I1 I 0.060 0.392 0.247
I2 I 0.256 0.238 0.758
I3 I 0.412 0.094 0.242
I4 I 0.608 0.940 0.753
I5 I 0.762 0.744 0.242
I6 I 0.906 0.588 0.758
```